For UCrH8Pt2, the PBE geometry in Alexandria gives the calculated XRD peak list in this record (λ = 1.5418 Å (Cu Kα)).
Neutral-atom scattering factors, no anomalous dispersion.

Top 6 peaks for 2θ from 5° to 70°, most intense first:
2θ/deg, I/Imax, hkl
25.61, 100, 0 1 1
34.44, 97, 0 1 2
38.53, 71, 1 1 0
13.01, 64, 0 0 1
52.63, 30, 2 0 2
67.09, 29, 1 2 2

```
data_UCrH8Pt2
_symmetry_space_group_name_H-M 'P -3 m 1'
_symmetry_Int_Tables_number 164
_symmetry_space_group_name_Hall '-P 3 2"'
_cell_length_a 4.6733
_cell_length_b 4.6733
_cell_length_c 6.8041
_cell_angle_alpha 90.00
_cell_angle_beta 90.00
_cell_angle_gamma 120.00
loop_
_atom_site_label
_atom_site_type_symbol
_atom_site_fract_x
_atom_site_fract_y
_atom_site_fract_z
U1 U 0.0000 0.0000 0.0000
Cr1 Cr 0.0000 0.0000 0.5000
H1 H 0.1396 0.2791 0.3025
H2 H 0.3333 0.6667 0.9525
Pt1 Pt 0.3333 0.6667 0.1950
```


For Ba3SrHg7, the PBE geometry in Alexandria gives the calculated XRD peak list in this record (λ = 1.5418 Å (Cu Kα)).
Neutral-atom scattering factors, no anomalous dispersion.

Top 6 peaks for 2θ from 5° to 70°, most intense first:
2θ/deg, I/Imax, hkl
27.17, 100, 1 1 3
30.28, 97, 1 5 2
30.57, 90, 0 8 0
20.51, 50, 1 1 0
40.98, 47, 2 0 0
37.67, 45, 0 6 5

```
data_Ba3SrHg7
_symmetry_space_group_name_H-M 'C m c m'
_symmetry_Int_Tables_number 63
_symmetry_space_group_name_Hall '-C 2c 2'
_cell_length_a 4.406
_cell_length_b 23.391
_cell_length_c 15.102
_cell_angle_alpha 90.00
_cell_angle_beta 90.00
_cell_angle_gamma 90.00
loop_
_atom_site_label
_atom_site_type_symbol
_atom_site_fract_x
_atom_site_fract_y
_atom_site_fract_z
Ba1 Ba 0.000 0.119 0.045
Ba2 Ba 0.000 0.232 0.750
Sr1 Sr 0.000 0.021 0.750
Hg1 Hg 0.000 0.270 0.059
Hg2 Hg 0.000 0.382 0.151
Hg3 Hg 0.000 0.389 0.750
Hg4 Hg 0.000 0.495 0.594
```


For Na2As2Se5, the PBE geometry in Alexandria gives the calculated XRD peak list in this record (λ = 1.5418 Å (Cu Kα)).
Neutral-atom scattering factors, no anomalous dispersion.

Top 6 peaks for 2θ from 5° to 70°, most intense first:
2θ/deg, I/Imax, hkl
30.18, 100, 1 1 -2
31.80, 86, 0 2 1
34.87, 57, 1 -2 2
12.64, 57, 0 1 0
14.55, 42, 0 1 -1
22.96, 34, -1 1 1

```
data_Na2As2Se5
_symmetry_space_group_name_H-M 'P -1'
_symmetry_Int_Tables_number 2
_symmetry_space_group_name_Hall '-P 1'
_cell_length_a 4.657
_cell_length_b 7.693
_cell_length_c 7.722
_cell_angle_alpha 104.73
_cell_angle_beta 100.16
_cell_angle_gamma 106.07
loop_
_atom_site_label
_atom_site_type_symbol
_atom_site_fract_x
_atom_site_fract_y
_atom_site_fract_z
Na1 Na 0.009 0.386 0.199
As1 As 0.228 0.164 0.728
Se1 Se 0.146 0.777 0.480
Se2 Se 0.173 0.988 0.130
Se3 Se 0.500 0.500 0.000
```


For Nd2MgBi3, the PBE geometry in Alexandria gives the calculated XRD peak list in this record (λ = 1.5418 Å (Cu Kα)).
Neutral-atom scattering factors, no anomalous dispersion.

Top 6 peaks for 2θ from 5° to 70°, most intense first:
2θ/deg, I/Imax, hkl
28.06, 100, 2 0 2
39.41, 96, 2 0 -4
27.13, 51, 0 2 0
48.45, 22, 2 2 -4
49.72, 18, 6 2 0
40.84, 17, 6 0 0

```
data_Nd2MgBi3
_symmetry_space_group_name_H-M 'C 1 2/c 1'
_symmetry_Int_Tables_number 15
_symmetry_space_group_name_Hall '-C 2yc'
_cell_length_a 14.018
_cell_length_b 6.573
_cell_length_c 9.158
_cell_angle_alpha 90.00
_cell_angle_beta 108.95
_cell_angle_gamma 90.00
loop_
_atom_site_label
_atom_site_type_symbol
_atom_site_fract_x
_atom_site_fract_y
_atom_site_fract_z
Nd1 Nd 0.171 0.001 0.085
Mg1 Mg 0.000 0.424 0.250
Bi1 Bi 0.000 0.043 0.750
Bi2 Bi 0.155 0.499 0.578
```


For NaAc4PrSe8, the PBE geometry in Alexandria gives the calculated XRD peak list in this record (λ = 1.5418 Å (Cu Kα)).
Neutral-atom scattering factors, no anomalous dispersion.

Top 6 peaks for 2θ from 5° to 70°, most intense first:
2θ/deg, I/Imax, hkl
27.79, 100, 0 2 4
39.42, 76, 2 2 0
40.00, 74, 2 0 8
22.94, 62, 1 1 3
22.82, 55, 0 2 1
11.88, 39, 1 0 1

```
data_NaAc4PrSe8
_symmetry_space_group_name_H-M 'R 3 m'
_symmetry_Int_Tables_number 160
_symmetry_space_group_name_Hall 'R 3 -2"'
_cell_length_a 9.1432
_cell_length_b 9.1432
_cell_length_c 21.9354
_cell_angle_alpha 90.00
_cell_angle_beta 90.00
_cell_angle_gamma 120.00
loop_
_atom_site_label
_atom_site_type_symbol
_atom_site_fract_x
_atom_site_fract_y
_atom_site_fract_z
Na1 Na 0.0000 0.0000 0.0000
Ac1 Ac 0.0000 0.0000 0.7517
Ac2 Ac 0.0095 0.5048 0.8761
Pr1 Pr 0.0000 0.0000 0.3701
Se1 Se 0.0000 0.0000 0.1335
Se2 Se 0.0000 0.0000 0.6163
Se3 Se 0.0290 0.5145 0.1256
Se4 Se 0.1813 0.3626 0.9587
```


For Pr2Nd2H, the PBE geometry in Alexandria gives the calculated XRD peak list in this record (λ = 1.5418 Å (Cu Kα)).
Neutral-atom scattering factors, no anomalous dispersion.

Top 6 peaks for 2θ from 5° to 70°, most intense first:
2θ/deg, I/Imax, hkl
29.71, 100, 1 1 1
34.44, 51, 2 0 0
49.50, 37, 2 2 0
58.84, 29, 3 1 1
58.74, 15, 1 1 3
61.70, 13, 2 2 2

```
data_Pr2Nd2H
_symmetry_space_group_name_H-M 'P 4/m m m'
_symmetry_Int_Tables_number 123
_symmetry_space_group_name_Hall '-P 4 2'
_cell_length_a 5.204
_cell_length_b 5.204
_cell_length_c 5.216
_cell_angle_alpha 90.00
_cell_angle_beta 90.00
_cell_angle_gamma 90.00
loop_
_atom_site_label
_atom_site_type_symbol
_atom_site_fract_x
_atom_site_fract_y
_atom_site_fract_z
Pr1 Pr 0.000 0.000 0.000
Pr2 Pr 0.500 0.500 0.000
Nd1 Nd 0.000 0.500 0.500
H1 H 0.000 0.000 0.500
```